Structure and calculated XRD peak list of DyTmBr6 (a structure optimized by DFT (GGA-PBE); a wavelength of 1.5418 Å).
Kinematic intensities with the Lorentz-polarization factor, no thermal factor.

Cell and atoms:
Cell lengths 7.0227, 7.0227, 19.0839 Å; angles 90.00, 90.00, 120.00 degrees
Space group R-3 (No. 148, hexagonal axes)
Unique sites:
Dy: 0.0000 0.0000 0.0000 [3 per cell]
Tm: 0.0000 0.0000 0.5000 [3 per cell]
Br: 0.0029 0.6567 0.2494 [18 per cell]

Peak list (10 most intense, 10° ≤ 2θ ≤ 80°, low angle first)
2theta, intensity, hkl
17.29, 100, 0 1 2
23.70, 37, 1 0 4
29.05, 87, 1 1 3
34.99, 20, 0 2 4
38.18, 75, 1 1 6
40.36, 20, 1 2 2
44.70, 48, 3 0 0
50.27, 18, 2 -1 9
60.21, 19, 4 -2 6
76.07, 20, 3 0 12

***

Structure and calculated XRD peak list of Tb12Sc6In (a structure optimized by DFT (GGA-PBE); a wavelength of 1.5418 Å).
Kinematic intensities with the Lorentz-polarization factor, no thermal factor.

Cell and atoms:
Cell lengths 10.354, 10.354, 10.354 Å; angles 90.00, 90.00, 90.00 degrees
Space group Im-3 (No. 204)
Unique sites:
Tb: 0.000 0.266 0.186 [24 per cell]
Sc: 0.000 0.140 0.500 [12 per cell]
In: 0.000 0.000 0.000 [2 per cell]

Peak list (10 most intense, 10° ≤ 2θ ≤ 80°, low angle first)
2theta, intensity, hkl
24.31, 20, 2 2 0
27.24, 24, 3 1 0
29.89, 72, 2 2 2
32.35, 100, 3 1 2
34.65, 39, 4 0 0
36.83, 21, 3 3 0
38.90, 28, 4 2 0
51.46, 27, 5 3 0
54.64, 32, 5 2 3
63.53, 16, 5 3 4

***

Structure and calculated XRD peak list of ErTm3Sc8 (a structure optimized by DFT (GGA-PBE); a wavelength of 1.5418 Å).
Kinematic intensities with the Lorentz-polarization factor, no thermal factor.

Cell and atoms:
Cell lengths 10.195, 10.564, 5.891 Å; angles 90.00, 90.00, 90.00 degrees
Space group Imm2 (No. 44)
Unique sites:
Er: 0.000 0.000 0.000 [2 per cell]
Tm: 0.000 0.250 0.344 [4 per cell]
Tm: 0.000 0.500 0.000 [2 per cell]
Sc: 0.169 0.000 0.507 [4 per cell]
Sc: 0.169 0.250 0.836 [8 per cell]
Sc: 0.169 0.500 0.507 [4 per cell]

Peak list (10 most intense, 10° ≤ 2θ ≤ 80°, low angle first)
2theta, intensity, hkl
17.39, 37, 2 0 0
24.26, 40, 1 2 1
30.36, 24, 0 0 2
33.94, 24, 0 4 0
34.89, 100, 3 2 1
46.17, 15, 0 4 2
53.94, 18, 6 0 0
61.35, 19, 3 6 1
65.28, 20, 6 4 0
65.86, 15, 0 2 4

***

Structure and calculated XRD peak list of Tb6Ho16Th7 (a structure optimized by DFT (GGA-PBE); a wavelength of 1.5418 Å).
Kinematic intensities with the Lorentz-polarization factor, no thermal factor.

Cell and atoms:
Cell lengths 15.863, 15.863, 15.863 Å; angles 90.00, 90.00, 90.00 degrees
Space group Fm-3m (No. 225)
Unique sites:
Tb: 0.000 0.000 0.246 [24 per cell]
Ho: 0.130 0.130 0.370 [32 per cell]
Ho: 0.153 0.153 0.153 [32 per cell]
Th: 0.000 0.000 0.500 [4 per cell]
Th: 0.000 0.250 0.250 [24 per cell]

Peak list (10 most intense, 10° ≤ 2θ ≤ 80°, low angle first)
2theta, intensity, hkl
11.16, 5, 2 0 0
27.55, 6, 4 2 2
31.91, 100, 4 4 0
33.42, 8, 5 3 1
35.80, 6, 6 2 0
45.76, 14, 8 0 0
52.56, 5, 7 5 3
56.87, 29, 8 4 4
66.71, 8, 8 8 0
75.86, 8, 12 4 0

***

Structure and calculated XRD peak list of MgInIrAu (a structure optimized by DFT (GGA-PBE); a wavelength of 1.5418 Å).
Kinematic intensities with the Lorentz-polarization factor, no thermal factor.

Cell and atoms:
Cell lengths 6.544, 6.544, 6.544 Å; angles 90.00, 90.00, 90.00 degrees
Space group F-43m (No. 216)
Unique sites:
Mg: 0.000 0.000 0.000 [4 per cell]
In: 0.000 0.000 0.500 [4 per cell]
Ir: 0.250 0.250 0.750 [4 per cell]
Au: 0.250 0.250 0.250 [4 per cell]

Peak list (10 most intense, 10° ≤ 2θ ≤ 80°, low angle first)
2theta, intensity, hkl
23.55, 7, 1 1 1
27.26, 27, 2 0 0
38.93, 100, 2 2 0
46.00, 4, 3 1 1
48.17, 8, 2 2 2
56.23, 17, 4 0 0
61.80, 1, 3 3 1
63.59, 11, 4 2 0
70.50, 35, 4 2 2
75.49, 1, 5 1 1

***

Structure and calculated XRD peak list of Pa6CuTe12 (a structure optimized by DFT (GGA-PBE); a wavelength of 1.5418 Å).
Kinematic intensities with the Lorentz-polarization factor, no thermal factor.

Cell and atoms:
Cell lengths 13.5019, 13.5019, 11.9713 Å; angles 90.00, 90.00, 120.00 degrees
Space group R-3 (No. 148, hexagonal axes)
Unique sites:
Pa: 0.0522 0.6121 0.3129 [18 per cell]
Cu: 0.0000 0.0000 0.0000 [3 per cell]
Te: 0.0349 0.8256 0.3862 [18 per cell]
Te: 0.0528 0.8539 0.8867 [18 per cell]

Peak list (10 most intense, 10° ≤ 2θ ≤ 80°, low angle first)
2theta, intensity, hkl
13.11, 25, 1 1 0
21.43, 100, 3 -1 1
22.28, 36, 0 0 3
28.52, 31, 4 -3 1
30.84, 29, 1 0 4
31.37, 62, 4 -1 2
35.17, 80, 4 1 0
36.25, 77, 3 -1 4
36.71, 29, 2 3 2
42.03, 23, 4 1 3

***

Structure and calculated XRD peak list of Cs2Na2Bi (a structure optimized by DFT (GGA-PBE); a wavelength of 1.5418 Å).
Kinematic intensities with the Lorentz-polarization factor, no thermal factor.

Cell and atoms:
Cell lengths 5.4860, 5.4860, 35.0002 Å; angles 90.00, 90.00, 120.00 degrees
Space group R-3m (No. 166, hexagonal axes)
Unique sites:
Cs: 0.0000 0.0000 0.0724 [6 per cell]
Na: 0.0000 0.0000 0.1840 [6 per cell]
Bi: 0.0000 0.0000 0.5000 [3 per cell]

Peak list (10 most intense, 10° ≤ 2θ ≤ 80°, low angle first)
2theta, intensity, hkl
19.36, 96, 0 1 2
22.62, 66, 0 1 5
22.87, 29, 0 0 9
25.87, 100, 1 0 7
32.65, 64, 1 1 0
40.23, 40, 1 1 9
40.79, 23, 0 1 14
42.11, 27, 0 2 7
45.39, 30, 1 1 12
54.28, 26, 2 1 7

***

Structure and calculated XRD peak list of TaMo7 (a structure optimized by DFT (GGA-PBE); a wavelength of 1.5418 Å).
Kinematic intensities with the Lorentz-polarization factor, no thermal factor.

Cell and atoms:
Cell lengths 5.280, 4.504, 5.496 Å; angles 90.00, 99.95, 90.00 degrees
Space group P2/m (No. 10)
Unique sites:
Ta: 0.000 0.000 0.000 [1 per cell]
Mo: 0.000 0.000 0.500 [1 per cell]
Mo: 0.249 0.500 0.374 [2 per cell]
Mo: 0.252 0.500 0.874 [2 per cell]
Mo: 0.497 0.000 0.749 [2 per cell]

Peak list (10 most intense, 10° ≤ 2θ ≤ 80°, low angle first)
2theta, intensity, hkl
16.38, 2, 0 0 1
17.05, 2, 1 0 0
19.71, 1, 0 1 0
25.73, 2, 1 0 1
26.17, 1, 1 1 0
40.06, 100, 2 1 0
40.15, 50, 1 1 -2
57.99, 25, 1 2 2
72.78, 38, 3 1 2
73.01, 12, 0 1 4